Starting from a cell relaxed with GGA-PBE, the powder diffractogram of CsK2Li2ReO6 was calculated for Cu Ka.
Peak positions follow from Bragg's law for the DFT cell and can differ from measured ones.

Crystal structure
Cell lengths 5.8178, 9.8182, 6.2563 Å; angles 90.00, 103.52, 90.00 degrees
Space group C2/m (No. 12)
Symmetry-distinct sites (fractional):
Cs (0.0000, 0.0000, 0.0000)
K (0.0000, 0.3248, 0.0000)
Li (0.0000, 0.1990, 0.5000)
Re (0.0000, 0.5000, 0.5000)
O (0.1919, 0.5000, 0.2963)
O (0.1965, 0.3574, 0.6629)

Top 8 peaks for 10° ≤ 2θ ≤ 90°, sorted by position:
index  Position (°2θ)  Rel. int.
0 2 0  18.08  863
1 1 -1  20.84  1000
1 1 1  25.55  578
0 0 2  29.37  311
2 0 0  31.63  236
1 3 -1  33.29  374
1 3 1  36.54  751
2 0 -2  38.05  295